[1]
For Ba2YCo3O7, a cell relaxed with PBE+U gives the theoretical powder diffraction line list in this record (copper Kα).

Principal peaks in the range 10° ≤ 2θ ≤ 90°, by angle:
(1 1 0), 2θ = 32.1°, d 2.789, intensity 95; (0 1 3), 2θ = 32.2°, d 2.776, intensity 90; (1 0 3), 2θ = 32.6°, d 2.745, intensity 100; (1 1 3), 2θ = 39.9°, d 2.262, intensity 28; (0 2 0), 2θ = 45.5°, d 1.995, intensity 31; (2 0 0), 2θ = 46.6°, d 1.950, intensity 29; (0 0 6), 2θ = 47.0°, d 1.933, intensity 19; (1 2 3), 2θ = 57.1°, d 1.614, intensity 39; (2 1 3), 2θ = 57.8°, d 1.596, intensity 34; (1 1 6), 2θ = 58.1°, d 1.589, intensity 36

Crystal structure
a b c (Å): 3.8998 3.9905 11.5965
angles (deg): 90.00 90.00 90.00
Fractional positions:
Ba  0.0000  0.0000  0.1790
Ba  0.0000  0.0000  0.8210
Y  0.0000  0.0000  0.5000
Co  0.5000  0.5000  0.0000
Co  0.5000  0.5000  0.3465
Co  0.5000  0.5000  0.6535
O  0.0000  0.5000  0.3766
O  0.0000  0.5000  0.6234
O  0.5000  0.0000  0.0000
O  0.5000  0.0000  0.3764
O  0.5000  0.0000  0.6236
O  0.5000  0.5000  0.1583
O  0.5000  0.5000  0.8417

---

[2]
For MgCo6O8F4, a cell relaxed with PBE+U gives the theoretical powder diffraction line list in this record (copper Kα).

Principal peaks in the range 10° ≤ 2θ ≤ 90°, by angle:
(1 1 1), 2θ = 22.7°, d 3.918, intensity 100; (-1 1 1), 2θ = 28.8°, d 3.105, intensity 71; (0 2 -1), 2θ = 35.8°, d 2.507, intensity 43; (0 0 3), 2θ = 36.2°, d 2.484, intensity 42; (1 0 3), 2θ = 38.6°, d 2.334, intensity 19; (2 0 3), 2θ = 49.0°, d 1.859, intensity 26; (2 2 -1), 2θ = 49.2°, d 1.853, intensity 17; (2 -2 1), 2θ = 55.4°, d 1.659, intensity 24; (2 0 -3), 2θ = 56.1°, d 1.640, intensity 14; (0 2 -4), 2θ = 64.1°, d 1.453, intensity 14

Crystal structure
a b c (Å): 5.0104 5.7986 7.6233
angles (deg): 79.79 81.10 78.87
Fractional positions:
Mg  0.0000  0.0000  0.0000
Co  0.0046  0.8011  0.6362
Co  0.0669  0.5086  0.9921
Co  0.0988  0.2050  0.3509
Co  0.5036  0.6409  0.2979
Co  0.5083  0.9726  0.9782
Co  0.5142  0.3185  0.6354
O  0.2215  0.1926  0.0885
O  0.2233  0.5203  0.7499
O  0.2230  0.8591  0.4194
O  0.3131  0.7221  0.0797
O  0.3383  0.3654  0.4179
O  0.8173  0.1058  0.5548
O  0.8363  0.7825  0.8804
O  0.8437  0.4589  0.2138
F  0.2893  0.0438  0.7645
F  0.7053  0.5967  0.5395
F  0.7070  0.2444  0.8869
F  0.7105  0.9350  0.2002

---

What is the formula in the first record?
Ba2YCo3O7